For Ca11Al14O32, a structure optimized by DFT (GGA-PBE) gives the calculated X-ray powder pattern in this record (Cu Ka).
Kinematic intensities with the Lorentz-polarization factor, no thermal factor.

Crystal structure
```
data_Ca11Al14O32
_space_group_name_H-M_alt 'C 1 2 1'
_space_group_IT_number 5
_cell_length_a 17.130
_cell_length_b 12.101
_cell_length_c 12.058
_cell_angle_alpha 90.00
_cell_angle_beta 134.73
_cell_angle_gamma 90.00
loop_
_space_group_symop_operation_xyz
'x,y,z'
'-x,y,-z'
'x+1/2,y+1/2,z'
'-x+1/2,y+1/2,-z'
loop_
_atom_site_label
_atom_site_type_symbol
_atom_site_fract_x
_atom_site_fract_y
_atom_site_fract_z
_atom_site_occupancy
Ca1 Ca 0.000 0.000 0.000 1
Ca2 Ca 0.000 0.253 0.500 1
Ca3 Ca 0.000 0.525 0.000 1
Ca4 Ca 0.113 0.389 0.861 1
Ca5 Ca 0.134 0.881 0.389 1
Ca6 Ca 0.247 0.637 0.632 1
Ca7 Ca 0.250 0.135 0.887 1
Al1 Al 0.000 0.261 0.000 1
Al2 Al 0.000 0.514 0.500 1
Al3 Al 0.017 0.119 0.250 1
Al4 Al 0.017 0.652 0.287 1
Al5 Al 0.125 0.885 0.874 1
Al6 Al 0.226 0.403 0.212 1
Al7 Al 0.233 0.369 0.750 1
Al8 Al 0.249 0.135 0.625 1
O1 O 0.032 0.786 0.738 1
O2 O 0.043 0.991 0.849 1
O3 O 0.055 0.170 0.155 1
O4 O 0.062 0.584 0.453 1
O5 O 0.065 0.204 0.748 1
O6 O 0.068 0.571 0.884 1
O7 O 0.095 0.353 0.034 1
O8 O 0.101 0.422 0.655 1
O9 O 0.147 0.079 0.436 1
O10 O 0.150 0.689 0.362 1
O11 O 0.181 0.949 0.246 1
O12 O 0.192 0.540 0.223 1
O13 O 0.193 0.236 0.657 1
O14 O 0.215 0.938 0.861 1
O15 O 0.217 0.831 0.066 1
O16 O 0.218 0.821 0.630 1
```

Main lines, sorted by position (2θ = 5–70°):
2θ (°), d_spacing, Rel. int., (hkl)
10.33, 8.563, 9.9, 2 0 -1
17.95, 4.942, 100.0, 3 1 -2
29.53, 3.025, 9.9, 0 4 0
32.96, 2.717, 21.8, 4 2 0
33.12, 2.705, 31.8, 6 0 -4
33.20, 2.698, 11.3, 4 2 -4
36.25, 2.478, 12.9, 2 2 2
36.39, 2.469, 21.9, 6 2 -4
46.29, 1.961, 10.7, 5 5 -3
57.01, 1.615, 13.3, 6 6 -4